1.
Computed PXRD pattern of CeAs2Pd5 for Cu Kα (weighted mean of Kα1 and Kα2), from a PBE-relaxed structure.
Kinematic intensities with the Lorentz-polarization factor, no thermal factor.

Most intense lines, 15 to 90 degrees two-theta, low angle first:
2θ 31.1, 2.874 Å, rel. 12; 2θ 34.1, 2.629 Å, rel. 93; 2θ 35.6, 2.523 Å, rel. 100; 2θ 38.3, 2.352 Å, rel. 13; 2θ 43.2, 2.094 Å, rel. 33; 2θ 43.7, 2.072 Å, rel. 43; 2θ 45.5, 1.995 Å, rel. 49; 2θ 45.6, 1.988 Å, rel. 13; 2θ 47.1, 1.929 Å, rel. 12; 2θ 47.4, 1.918 Å, rel. 18; 2θ 64.9, 1.437 Å, rel. 33; 2θ 78.4, 1.220 Å, rel. 15

Atomic structure:
```
CeAs2Pd5
1.0
-2.072 3.641 4.770
2.072 -3.641 4.770
2.072 3.641 -4.770
Ce As Pd
1 2 5
Cartesian
0.000 0.000 0.000
2.072 0.000 2.330
0.000 3.641 2.439
2.072 2.243 -1.423
2.072 2.243 1.423
0.000 3.641 0.000
0.000 1.398 3.346
0.000 1.398 6.193
```

2.
Computed PXRD pattern of CeAs2Pd3 for Cu Kα (weighted mean of Kα1 and Kα2), from a PBE-relaxed structure.
Kinematic intensities with the Lorentz-polarization factor, no thermal factor.

Most intense lines, 15 to 90 degrees two-theta, low angle first:
2θ 32.2, 2.778 Å, rel. 27; 2θ 34.9, 2.570 Å, rel. 8; 2θ 35.5, 2.529 Å, rel. 100; 2θ 36.4, 2.468 Å, rel. 31; 2θ 37.4, 2.405 Å, rel. 39; 2θ 41.6, 2.170 Å, rel. 13; 2θ 41.9, 2.158 Å, rel. 40; 2θ 46.2, 1.967 Å, rel. 18; 2θ 48.1, 1.891 Å, rel. 13; 2θ 56.7, 1.624 Å, rel. 17; 2θ 65.7, 1.422 Å, rel. 19; 2θ 72.3, 1.306 Å, rel. 11

Atomic structure:
```
CeAs2Pd3
1.0
7.797 -2.158 0.000
7.797 2.158 0.000
-3.603 0.000 6.612
Ce As Pd
2 4 6
Cartesian
2.037 0.000 0.447
9.954 0.000 6.164
0.448 0.000 4.901
4.751 0.000 5.435
7.240 0.000 1.177
11.543 0.000 1.711
-0.470 0.000 2.490
2.725 0.000 3.934
4.929 0.000 2.187
7.062 0.000 4.425
9.265 0.000 2.678
12.461 0.000 4.121
```